Starting from a crystal structure in Alexandria, relaxed with PBE, the X-ray powder pattern of LiNiMo was computed for λ = 1.5418 Å (Cu Kα).
Lines closer than 0.1° are merged.

Largest 8 diffraction maxima, low angle first, 5 to 70 degrees two-theta:
| two_theta | I_rel | (hkl) |
| --- | --- | --- |
| 8.6 | 100 | 0 0 2 |
| 36.3 | 10 | 1 0 5 |
| 41.3 | 12 | 1 1 0 |
| 42.3 | 31 | 1 0 7 |
| 49.4 | 7 | 1 0 9 |
| 59.8 | 4 | 2 0 0 |
| 60.6 | 3 | 2 0 2 |
| 62.9 | 2 | 0 0 14 |

Structure:
a = 3.091 Å, b = 3.091 Å, c = 20.677 Å
α = 90.00°, β = 90.00°, γ = 90.00°
Positions (direct):
Li 0.000 0.000 0.072
Li 0.000 0.000 0.928
Li 0.500 0.500 0.428
Li 0.500 0.500 0.572
Ni 0.000 0.000 0.352
Ni 0.000 0.000 0.648
Ni 0.500 0.500 0.148
Ni 0.500 0.500 0.852
Mo 0.000 0.000 0.214
Mo 0.000 0.000 0.786
Mo 0.500 0.500 0.286
Mo 0.500 0.500 0.714